Entry 1:
Diffraction record for PmSm4Sc4. The powder X-ray diffraction pattern is simulated, not measured: it uses a cell relaxed with GGA-PBE and Cu Kα (weighted mean of Kα1 and Kα2).

Peak list (8 most intense, 2θ from 10° to 90°, sorted by position)
- 2θ = 20.12°, intensity 16, hkl 1 0 1
- 2θ = 31.64°, intensity 100, hkl 3 0 1
- 2θ = 36.59°, intensity 34, hkl 3 3 0
- 2θ = 36.91°, intensity 16, hkl 0 0 2
- 2θ = 52.95°, intensity 23, hkl 3 3 2
- 2θ = 62.80°, intensity 27, hkl 6 3 1
- 2θ = 63.22°, intensity 13, hkl 3 0 3
- 2θ = 66.08°, intensity 13, hkl 6 0 2

```
data_PmSm4Sc4
_symmetry_space_group_name_H-M 'I 4/m m m'
_symmetry_Int_Tables_number 139
_symmetry_space_group_name_Hall '-I 4 2'
_cell_length_a 10.4180
_cell_length_b 10.4180
_cell_length_c 4.8712
_cell_angle_alpha 90.00
_cell_angle_beta 90.00
_cell_angle_gamma 90.00
loop_
_atom_site_label
_atom_site_type_symbol
_atom_site_fract_x
_atom_site_fract_y
_atom_site_fract_z
Pm1 Pm 0.0000 0.0000 0.0000
Sm1 Sm 0.0000 0.3275 0.0000
Sc1 Sc 0.1670 0.1670 0.5000
```

***

Entry 2:
Diffraction record for Pm3SmSc4. The powder X-ray diffraction pattern is simulated, not measured: it uses a cell relaxed with GGA-PBE and Cu Kα (weighted mean of Kα1 and Kα2).

Peak list (8 most intense, 2θ from 10° to 90°, sorted by position)
- 2θ = 12.21°, intensity 29, hkl 0 1 0
- 2θ = 25.37°, intensity 44, hkl 2 1 1
- 2θ = 28.85°, intensity 17, hkl 0 2 1
- 2θ = 32.92°, intensity 33, hkl 4 0 0
- 2θ = 33.31°, intensity 100, hkl 2 2 1
- 2θ = 34.39°, intensity 36, hkl 2 0 2
- 2θ = 59.03°, intensity 23, hkl 6 2 1
- 2θ = 63.51°, intensity 17, hkl 4 2 3

```
data_Pm3SmSc4
_symmetry_space_group_name_H-M 'P m n 21'
_symmetry_Int_Tables_number 31
_cell_length_a 10.8842
_cell_length_b 7.2498
_cell_length_c 5.9430
_cell_angle_alpha 90.00
_cell_angle_beta 90.00
_cell_angle_gamma 90.00
loop_
_symmetry_equiv_pos_as_xyz
'x,y,z'
'-x+1/2,-y,z+1/2'
'-x,y,z'
'x+1/2,-y,z+1/2'
loop_
_atom_site_label
_atom_site_type_symbol
_atom_site_fract_x
_atom_site_fract_y
_atom_site_fract_z
Pm1 Pm 0.0000 0.1410 0.0000
Pm2 Pm 0.2502 0.1408 0.3629
Sm1 Sm 0.0000 0.8587 0.4994
Sc1 Sc 0.0000 0.3944 0.5136
Sc2 Sc 0.0000 0.6053 0.0134
Sc3 Sc 0.2503 0.3946 0.8490
```

***

Entry 3:
Diffraction record for Pm6Sm2Sc3. The powder X-ray diffraction pattern is simulated, not measured: it uses a cell relaxed with GGA-PBE and Cu Kα (weighted mean of Kα1 and Kα2).

Peak list (8 most intense, 2θ from 10° to 90°, sorted by position)
- 2θ = 30.87°, intensity 100, hkl 1 -1 2
- 2θ = 31.00°, intensity 48, hkl 1 2 -2
- 2θ = 31.10°, intensity 48, hkl 0 2 1
- 2θ = 35.90°, intensity 97, hkl 2 1 0
- 2θ = 51.62°, intensity 23, hkl 3 1 -3
- 2θ = 51.76°, intensity 23, hkl 1 1 3
- 2θ = 61.26°, intensity 20, hkl 4 0 -1
- 2θ = 61.50°, intensity 33, hkl 0 1 -5

```
data_Pm6Sm2Sc3
_symmetry_space_group_name_H-M 'P -1'
_symmetry_Int_Tables_number 2
_cell_length_a 6.1490
_cell_length_b 7.8981
_cell_length_c 7.9087
_cell_angle_alpha 107.65
_cell_angle_beta 104.79
_cell_angle_gamma 97.70
loop_
_symmetry_equiv_pos_as_xyz
'x,y,z'
'-x,-y,-z'
loop_
_atom_site_label
_atom_site_type_symbol
_atom_site_fract_x
_atom_site_fract_y
_atom_site_fract_z
Pm1 Pm 0.0923 0.3242 0.3588
Pm2 Pm 0.1814 0.1491 0.7323
Pm3 Pm 0.2752 0.9509 0.0892
Sm1 Sm 0.3658 0.7668 0.4542
Sc1 Sc 0.0000 0.5000 0.0000
Sc2 Sc 0.4562 0.5874 0.8263
```

***

Entry 4:
Diffraction record for Pm8Sm4Sc. The powder X-ray diffraction pattern is simulated, not measured: it uses a cell relaxed with GGA-PBE and Cu Kα (weighted mean of Kα1 and Kα2).

Peak list (8 most intense, 2θ from 10° to 90°, sorted by position)
- 2θ = 28.93°, intensity 52, hkl 2 2 -1
- 2θ = 29.47°, intensity 100, hkl 0 2 3
- 2θ = 30.08°, intensity 42, hkl 2 2 -2
- 2θ = 33.12°, intensity 46, hkl 0 4 0
- 2θ = 33.24°, intensity 21, hkl 2 2 1
- 2θ = 33.38°, intensity 20, hkl 2 2 -3
- 2θ = 34.31°, intensity 15, hkl 2 0 -4
- 2θ = 48.45°, intensity 25, hkl 4 0 -2

```
data_Pm8Sm4Sc
_symmetry_space_group_name_H-M 'C 1 2/m 1'
_symmetry_Int_Tables_number 12
_cell_length_a 7.5144
_cell_length_b 10.8186
_cell_length_c 11.5806
_cell_angle_alpha 90.00
_cell_angle_beta 108.59
_cell_angle_gamma 90.00
loop_
_symmetry_equiv_pos_as_xyz
'x,y,z'
'-x,-y,-z'
'-x,y,-z'
'x,-y,z'
'x+1/2,y+1/2,z'
'-x+1/2,-y+1/2,-z'
'-x+1/2,y+1/2,-z'
'x+1/2,-y+1/2,z'
loop_
_atom_site_label
_atom_site_type_symbol
_atom_site_fract_x
_atom_site_fract_y
_atom_site_fract_z
Pm1 Pm 0.1238 0.0000 0.3012
Pm2 Pm 0.1575 0.2638 0.8207
Pm3 Pm 0.1820 0.5000 0.3012
Sm1 Sm 0.0000 0.0000 0.0000
Sm2 Sm 0.0000 0.5000 0.0000
Sm3 Sm 0.2500 0.2500 0.5000
Sc1 Sc 0.0000 0.5000 0.5000
```